[1]
LaSc3B4O12: theoretical powder diffractogram (CuKα), based on DFT lattice parameters and positions (GGA-PBE).

The 6 most intense peaks (2θ from 10° to 90°), sorted by position:
| 2θ/deg | Rel. int. |
| --- | --- |
| 14.77 | 24.7 |
| 23.44 | 43.3 |
| 23.65 | 21.1 |
| 30.44 | 100.0 |
| 49.92 | 16.6 |
| 50.10 | 16.8 |

Structure:
```
LaSc3B4O12
1.0
3.905 -4.970 0.000
3.905 4.970 0.000
-3.265 0.000 11.742
La Sc B O
2 6 8 24
Direct
0.036 0.964 0.500
0.964 0.036 0.000
0.194 0.691 0.224
0.288 0.790 0.774
0.420 0.570 0.000
0.570 0.420 0.500
0.691 0.194 0.724
0.790 0.288 0.274
0.095 0.487 0.524
0.211 0.264 0.750
0.264 0.211 0.250
0.487 0.095 0.024
0.501 0.888 0.476
0.722 0.769 0.249
0.769 0.722 0.749
0.888 0.501 0.976
0.100 0.551 0.044
0.123 0.349 0.243
0.154 0.688 0.602
0.185 0.998 0.182
0.238 0.355 0.511
0.287 0.477 0.818
0.302 0.816 0.397
0.349 0.123 0.743
0.355 0.238 0.011
0.417 0.883 0.955
0.477 0.287 0.318
0.509 0.696 0.181
0.551 0.100 0.544
0.627 0.860 0.754
0.645 0.756 0.492
0.688 0.154 0.102
0.696 0.509 0.681
0.756 0.645 0.992
0.805 0.982 0.316
0.816 0.302 0.897
0.860 0.627 0.254
0.883 0.417 0.455
0.982 0.805 0.816
0.998 0.185 0.682
```

***

[2]
LaSc3B4O12: theoretical powder diffractogram (CuKα), based on DFT lattice parameters and positions (GGA-PBE).

The 6 most intense peaks (2θ from 10° to 90°), sorted by position:
| 2θ/deg | Rel. int. |
| --- | --- |
| 14.76 | 24.6 |
| 23.45 | 37.0 |
| 23.64 | 21.1 |
| 30.44 | 100.0 |
| 49.92 | 16.7 |
| 50.09 | 16.9 |

Structure:
```
LaSc3B4O12
1.0
3.905 -4.971 0.000
3.905 4.971 0.000
-3.259 0.000 11.745
La Sc B O
2 6 8 24
Direct
0.035 0.965 0.750
0.965 0.035 0.250
0.202 0.702 0.475
0.298 0.798 0.025
0.425 0.575 0.250
0.575 0.425 0.750
0.702 0.202 0.975
0.798 0.298 0.525
0.103 0.494 0.774
0.222 0.271 0.000
0.271 0.222 0.500
0.494 0.103 0.274
0.506 0.897 0.726
0.729 0.778 0.500
0.778 0.729 0.000
0.897 0.506 0.226
0.008 0.190 0.933
0.109 0.567 0.295
0.132 0.362 0.495
0.167 0.693 0.852
0.190 0.008 0.433
0.241 0.356 0.759
0.295 0.484 0.068
0.307 0.833 0.648
0.356 0.241 0.259
0.362 0.132 0.995
0.433 0.891 0.205
0.484 0.295 0.568
0.516 0.705 0.432
0.567 0.109 0.795
0.638 0.868 0.005
0.644 0.759 0.741
0.693 0.167 0.352
0.705 0.516 0.932
0.759 0.644 0.241
0.810 0.992 0.567
0.833 0.307 0.148
0.868 0.638 0.505
0.891 0.433 0.705
0.992 0.810 0.067
```